Entry 1:
Theoretical X-ray diffraction stick pattern of DyGeIr for a wavelength of 1.5418 Å, from a structure optimized by DFT (GGA-PBE).

Crystal structure
Cell: 6.907 4.331 7.617 Å, 90.00 90.00 90.00°
Positions (direct):
Dy 0.003 0.250 0.192
Dy 0.497 0.750 0.692
Dy 0.503 0.250 0.308
Dy 0.997 0.750 0.808
Ge 0.208 0.750 0.391
Ge 0.292 0.250 0.891
Ge 0.708 0.750 0.109
Ge 0.792 0.250 0.609
Ir 0.161 0.250 0.566
Ir 0.339 0.750 0.066
Ir 0.661 0.250 0.934
Ir 0.839 0.750 0.434

Main lines, in order of rising 2θ (10° ≤ 2θ ≤ 90°):
Position (°2θ)  I (rel.)
33.93  88
35.08  36
35.27  100
40.96  62
41.22  66
41.71  56
59.88  32
67.38  44

Entry 2:
Theoretical X-ray diffraction stick pattern of Ba3La5Tl2Cu4O18 for a wavelength of 1.5418 Å, from a structure optimized by DFT (GGA-PBE).

Crystal structure
Cell: 5.429 16.129 16.129 Å, 19.39 90.00 90.00°
Positions (direct):
Ba 0.000 0.000 0.000
Ba 0.000 0.167 0.167
Ba 0.500 0.501 0.501
La 0.000 0.287 0.287
La 0.000 0.879 0.879
La 0.500 0.379 0.379
La 0.500 0.670 0.670
La 0.500 0.788 0.788
Tl 0.000 0.585 0.585
Tl 0.500 0.085 0.085
Cu 0.000 0.436 0.436
Cu 0.000 0.730 0.730
Cu 0.500 0.230 0.230
Cu 0.500 0.935 0.935
O 0.000 0.084 0.084
O 0.000 0.358 0.358
O 0.000 0.520 0.520
O 0.000 0.652 0.652
O 0.000 0.805 0.805
O 0.250 0.185 0.680
O 0.250 0.680 0.185
O 0.257 0.489 0.971
O 0.257 0.971 0.489
O 0.500 0.019 0.019
O 0.500 0.152 0.152
O 0.500 0.304 0.304
O 0.500 0.595 0.595
O 0.500 0.861 0.861
O 0.743 0.489 0.971
O 0.743 0.971 0.489
O 0.750 0.185 0.680
O 0.750 0.680 0.185

Main lines, in order of rising 2θ (10° ≤ 2θ ≤ 90°):
Position (°2θ)  I (rel.)
24.66  21
30.48  100
32.99  62
43.85  26
47.35  29
52.53  16
54.58  13
57.36  35